Calculated powder diffraction line list of Li6MnO2F4 for copper Kα, from a crystal structure in the Materials Project, relaxed with GGA+U.
Peak positions follow from Bragg's law for the DFT cell and can differ from measured ones.

Lattice parameters (Å, degrees): 7.072 8.418 11.048 90.00 108.41 90.00
Space group C2/c (No. 15)
Unique sites:
Li1 0.013 0.156 0.493 (multiplicity 8)
Li2 0.161 0.342 0.313 (multiplicity 8)
Li3 0.189 0.286 0.834 (multiplicity 8)
Mn1 0.000 0.500 0.000 (multiplicity 4)
O1 0.065 0.327 0.129 (multiplicity 8)
F1 0.080 0.277 0.650 (multiplicity 8)
F2 0.207 0.012 0.067 (multiplicity 8)

The 10 most intense peaks (2θ = 5–70°), low angle first:
2θ (°)  I (rel.)  h k l
16.90  100  0 0 2
26.62  37  2 0 -2
26.85  19  1 1 2
27.17  48  0 2 2
39.97  22  3 1 -2
40.55  16  0 2 4
40.71  18  1 3 2
42.30  18  2 2 -4
52.64  16  1 3 4
55.51  14  2 2 -6